(1)
For Na6ZnF12, a PBE-relaxed structure gives the simulated powder diffraction line list in this record (Cu Kα, 1.54184 Å).
Peak positions follow from Bragg's law for the DFT cell and can differ from measured ones.

```
data_Na6ZnF12
_symmetry_space_group_name_H-M 'R -3'
_symmetry_Int_Tables_number 148
_symmetry_space_group_name_Hall '-R 3'
_cell_length_a 9.8824
_cell_length_b 9.8824
_cell_length_c 9.4233
_cell_angle_alpha 90.00
_cell_angle_beta 90.00
_cell_angle_gamma 120.00
loop_
_atom_site_label
_atom_site_type_symbol
_atom_site_fract_x
_atom_site_fract_y
_atom_site_fract_z
Na1 Na 0.0593 0.5840 0.3246
Zn1 Zn 0.0000 0.0000 0.0000
F1 F 0.0463 0.8570 0.8900
F2 F 0.0803 0.8314 0.3962
```

The 6 most intense peaks (10 to 90 degrees two-theta), sorted by position:
14.0°, rel. 66.8
28.4°, rel. 32.9
29.2°, rel. 100.0
42.7°, rel. 35.0
47.8°, rel. 74.9
48.8°, rel. 50.6



(2)
For NaZrF5, a PBE-relaxed structure gives the simulated powder diffraction line list in this record (Cu Kα, 1.54184 Å).
Peak positions follow from Bragg's law for the DFT cell and can differ from measured ones.

```
data_NaZrF5
_symmetry_space_group_name_H-M 'I m m m'
_symmetry_Int_Tables_number 71
_symmetry_space_group_name_Hall '-I 2 2'
_cell_length_a 4.196
_cell_length_b 6.992
_cell_length_c 8.470
_cell_angle_alpha 90.00
_cell_angle_beta 90.00
_cell_angle_gamma 90.00
loop_
_atom_site_label
_atom_site_type_symbol
_atom_site_fract_x
_atom_site_fract_y
_atom_site_fract_z
Na1 Na 0.000 0.000 0.000
Zr1 Zr 0.000 0.000 0.500
F1 F 0.000 0.000 0.263
F2 F 0.000 0.289 0.500
F3 F 0.000 0.500 0.000
```

The 6 most intense peaks (10 to 90 degrees two-theta), sorted by position:
16.4°, rel. 100.0
21.0°, rel. 79.6
23.7°, rel. 52.5
24.7°, rel. 89.8
25.5°, rel. 51.9
44.5°, rel. 28.3



(3)
For Na2ZrF5, a PBE-relaxed structure gives the simulated powder diffraction line list in this record (Cu Kα, 1.54184 Å).
Peak positions follow from Bragg's law for the DFT cell and can differ from measured ones.

```
data_Na2ZrF5
_symmetry_space_group_name_H-M 'C 1 m 1'
_symmetry_Int_Tables_number 8
_cell_length_a 10.687
_cell_length_b 6.370
_cell_length_c 6.480
_cell_angle_alpha 90.00
_cell_angle_beta 115.87
_cell_angle_gamma 90.00
loop_
_symmetry_equiv_pos_as_xyz
'x,y,z'
'x,-y,z'
'x+1/2,y+1/2,z'
'x+1/2,-y+1/2,z'
loop_
_atom_site_label
_atom_site_type_symbol
_atom_site_fract_x
_atom_site_fract_y
_atom_site_fract_z
Na1 Na 0.000 0.000 0.000
Na2 Na 0.090 0.500 0.539
Zr1 Zr 0.136 0.500 0.050
F1 F 0.052 0.266 0.809
F2 F 0.101 0.286 0.257
F3 F 0.275 0.500 0.901
```

The 6 most intense peaks (10 to 90 degrees two-theta), sorted by position:
15.2°, rel. 53.8
16.7°, rel. 100.0
18.5°, rel. 76.8
31.2°, rel. 23.1
40.1°, rel. 27.5
42.0°, rel. 22.8



(4)
For Na5Zr2F13, a PBE-relaxed structure gives the simulated powder diffraction line list in this record (Cu Kα, 1.54184 Å).
Peak positions follow from Bragg's law for the DFT cell and can differ from measured ones.

```
data_Na5Zr2F13
_symmetry_space_group_name_H-M 'C 1 2/m 1'
_symmetry_Int_Tables_number 12
_cell_length_a 11.800
_cell_length_b 5.573
_cell_length_c 8.578
_cell_angle_alpha 90.00
_cell_angle_beta 97.40
_cell_angle_gamma 90.00
loop_
_symmetry_equiv_pos_as_xyz
'x,y,z'
'-x,-y,-z'
'-x,y,-z'
'x,-y,z'
'x+1/2,y+1/2,z'
'-x+1/2,-y+1/2,-z'
'-x+1/2,y+1/2,-z'
'x+1/2,-y+1/2,z'
loop_
_atom_site_label
_atom_site_type_symbol
_atom_site_fract_x
_atom_site_fract_y
_atom_site_fract_z
Na1 Na 0.000 0.000 0.000
Na2 Na 0.164 0.000 0.428
Na3 Na 0.222 0.500 0.155
Zr1 Zr 0.073 0.500 0.743
F1 F 0.000 0.500 0.500
F2 F 0.061 0.261 0.250
F3 F 0.134 0.274 0.929
F4 F 0.182 0.262 0.643
```

The 6 most intense peaks (10 to 90 degrees two-theta), sorted by position:
17.6°, rel. 84.9
20.9°, rel. 33.5
28.2°, rel. 74.7
28.8°, rel. 100.0
46.9°, rel. 47.9
47.2°, rel. 50.7



Please write out number 1 again, unchanged.
For Na6ZnF12, a PBE-relaxed structure gives the simulated powder diffraction line list in this record (Cu Kα, 1.54184 Å).
Peak positions follow from Bragg's law for the DFT cell and can differ from measured ones.

```
data_Na6ZnF12
_symmetry_space_group_name_H-M 'R -3'
_symmetry_Int_Tables_number 148
_symmetry_space_group_name_Hall '-R 3'
_cell_length_a 9.8824
_cell_length_b 9.8824
_cell_length_c 9.4233
_cell_angle_alpha 90.00
_cell_angle_beta 90.00
_cell_angle_gamma 120.00
loop_
_atom_site_label
_atom_site_type_symbol
_atom_site_fract_x
_atom_site_fract_y
_atom_site_fract_z
Na1 Na 0.0593 0.5840 0.3246
Zn1 Zn 0.0000 0.0000 0.0000
F1 F 0.0463 0.8570 0.8900
F2 F 0.0803 0.8314 0.3962
```

The 6 most intense peaks (10 to 90 degrees two-theta), sorted by position:
14.0°, rel. 66.8
28.4°, rel. 32.9
29.2°, rel. 100.0
42.7°, rel. 35.0
47.8°, rel. 74.9
48.8°, rel. 50.6